No. 1
Diffraction record for Tb4Dy3Bi4. The X-ray powder pattern is theoretical, not measured: it uses a structure optimized by DFT (GGA-PBE) and Cu Kα X-rays.
Intensities are scaled so that the largest is 100.

Atomic structure:
```
11
Lattice="-2.0336 4.6659 8.9318 2.0336 -4.6659 8.9318 2.0336 4.6659 -8.9318" Properties=species:S:1:pos:R:3 pbc="T T T"
Tb 2.0336 -2.9540 5.9727
Tb 0.0000 1.7119 2.9591
Tb 2.0336 2.9540 5.9727
Tb 0.0000 7.6198 2.9591
Dy 2.0336 0.0000 0.0000
Dy 0.0000 0.0000 7.1220
Dy 0.0000 0.0000 10.7416
Bi 2.0336 0.0000 4.7173
Bi 0.0000 2.7506 0.0000
Bi 0.0000 6.5811 0.0000
Bi 0.0000 4.6659 4.2145
```

Largest 10 diffraction maxima, in order of rising 2θ, 15° ≤ 2θ ≤ 90°:
- 29.6°, I 91
- 31.3°, I 100
- 32.5°, I 66
- 33.4°, I 41
- 35.8°, I 46
- 37.8°, I 48
- 44.6°, I 32
- 46.3°, I 25
- 56.2°, I 28
- 58.2°, I 36


No. 2
Diffraction record for TbDy4Bi3. The X-ray powder pattern is theoretical, not measured: it uses a structure optimized by DFT (GGA-PBE) and Cu Kα X-rays.
Intensities are scaled so that the largest is 100.

Atomic structure:
```
16
Lattice="4.0372 0.0000 0.0000 0.0000 8.6884 0.0000 0.0000 0.0000 14.2416" Properties=species:S:1:pos:R:3 pbc="T T T"
Tb 0.0000 0.0000 0.0000
Tb 2.0186 4.3442 7.1208
Dy 0.0000 2.5717 1.8862
Dy 0.0000 2.5717 12.3555
Dy 0.0000 6.1167 1.8862
Dy 0.0000 6.1167 12.3555
Dy 2.0186 1.7725 5.2346
Dy 2.0186 1.7725 9.0070
Dy 2.0186 6.9159 5.2346
Dy 2.0186 6.9159 9.0070
Bi 0.0000 0.0000 7.1208
Bi 0.0000 4.3442 4.5644
Bi 0.0000 4.3442 9.6773
Bi 2.0186 0.0000 2.5564
Bi 2.0186 0.0000 11.6852
Bi 2.0186 4.3442 0.0000
```

Largest 10 diffraction maxima, in order of rising 2θ, 15° ≤ 2θ ≤ 90°:
- 27.4°, I 100
- 30.9°, I 62
- 32.5°, I 51
- 35.2°, I 50
- 35.8°, I 74
- 36.3°, I 41
- 40.4°, I 30
- 44.9°, I 33
- 63.9°, I 26
- 65.8°, I 31


No. 3
Diffraction record for Tb2DyBi. The X-ray powder pattern is theoretical, not measured: it uses a structure optimized by DFT (GGA-PBE) and Cu Kα X-rays.
Intensities are scaled so that the largest is 100.

Atomic structure:
```
8
Lattice="4.6380 0.0000 0.0000 0.0000 4.6004 0.0000 -2.3219 0.0000 11.4176" Properties=species:S:1:pos:R:3 pbc="T T T"
Tb -0.0005 1.1501 1.3571
Tb -0.0032 1.1501 10.0060
Tb 2.3192 3.4503 1.4116
Tb 2.3165 3.4503 10.0605
Dy -0.0047 3.4503 7.0420
Dy 2.3208 1.1501 4.3756
Bi 0.0033 3.4503 3.8774
Bi 2.3127 1.1501 7.5402
```

Largest 10 diffraction maxima, in order of rising 2θ, 15° ≤ 2θ ≤ 90°:
- 27.6°, I 30
- 29.8°, I 74
- 31.3°, I 42
- 33.7°, I 100
- 38.8°, I 31
- 39.2°, I 30
- 50.7°, I 22
- 51.0°, I 22
- 56.3°, I 21
- 65.9°, I 20


No. 4
Diffraction record for Dy6BiTe3. The X-ray powder pattern is theoretical, not measured: it uses a structure optimized by DFT (GGA-PBE) and Cu Kα X-rays.
Intensities are scaled so that the largest is 100.

Atomic structure:
```
20
Lattice="12.1972 0.0000 0.0000 0.0000 4.1325 0.0000 -3.2443 0.0000 12.1235" Properties=species:S:1:pos:R:3 pbc="T T T"
Dy -0.9608 1.0331 4.3047
Dy -1.9324 1.0331 10.7092
Dy 2.0924 3.0994 3.6437
Dy 1.0031 3.0994 9.3107
Dy 2.8626 1.0331 6.5672
Dy 5.1913 3.0994 1.4698
Dy 3.7616 1.0331 10.6536
Dy 6.0903 3.0994 5.5563
Dy 7.9498 1.0331 2.8128
Dy 6.8605 1.0331 8.4798
Dy 10.8853 3.0994 1.4142
Dy 9.9137 3.0994 7.8188
Bi 4.5188 1.0331 3.7768
Bi 4.4341 3.0994 8.3467
Te 0.9150 1.0331 1.7156
Te 0.4635 3.0994 6.2495
Te 0.9410 1.0331 11.6147
Te 8.0119 3.0994 0.5088
Te 8.4894 1.0331 5.8740
Te 8.0379 3.0994 10.4079
```

Largest 10 diffraction maxima, in order of rising 2θ, 15° ≤ 2θ ≤ 90°:
- 26.1°, I 40
- 28.4°, I 52
- 29.5°, I 56
- 30.1°, I 45
- 30.9°, I 29
- 31.4°, I 73
- 32.2°, I 100
- 36.8°, I 84
- 37.3°, I 45
- 43.8°, I 64